La8Ni4O17: simulated X-ray powder pattern (Cu Kα (weighted mean of Kα1 and Kα2)), based on a crystal structure in Alexandria, relaxed with GGA+U.
Lines closer than 0.1° are merged.

Main lines, by angle (10 to 90 degrees two-theta):
2θ/deg	d/Å	I/Imax	h k l
23.8	3.740	27.2	1 0 -2
31.2	2.870	100.0	1 0 2
31.2	2.863	32.0	2 0 -2
32.2	2.779	41.4	-1 2 1
32.5	2.758	41.4	0 2 -3
42.9	2.107	14.3	3 0 0
43.4	2.087	17.1	-3 2 1
43.6	2.078	17.4	2 2 -3
46.3	1.961	21.6	1 -4 2
46.5	1.954	21.2	1 0 -4

Atomic structure:
```
29
Lattice="6.9041 0.0000 0.0000 -2.2538 7.5133 0.0000 -1.0917 -4.3623 7.4713" Properties=species:S:1:pos:R:3 pbc="T T T"
La 0.0000 0.0000 0.0000
La -2.1880 -0.5548 7.3640
La 2.4524 -1.2750 2.5881
La 0.2133 2.2092 6.3645
La 1.4013 2.4792 2.5580
La 1.4102 -1.5241 6.4044
La 5.7119 -0.2265 3.6955
La 4.5651 3.5718 3.7839
Ni 4.0892 -2.7927 5.0335
Ni 2.9904 0.9822 5.0134
Ni 4.1320 1.2847 1.2953
Ni 3.0304 5.0084 1.3513
O -1.8310 1.6406 5.1970
O -0.7665 -2.1997 5.6253
O -2.1315 5.7424 2.4615
O -0.7019 1.6061 1.9510
O -0.4733 6.0003 0.3731
O -0.1718 4.1537 4.4668
O 0.9460 0.4185 4.6079
O 2.0670 1.1373 0.6050
O 1.2263 3.9712 0.6272
O 3.3473 1.0248 3.0765
O 2.2169 4.8179 3.1302
O 4.5452 -0.6646 1.2329
O 3.5841 -2.9541 6.8980
O 2.4690 2.8743 5.0484
O 3.6206 -0.8875 5.0841
O 2.5984 0.8632 6.9656
O 3.9190 3.2418 1.4112
```